No. 1
# Pa2NiOsN5
Simulated powder diffraction line list, Cu Kα X-rays. Input: DFT lattice parameters and positions (GGA-PBE).

The 10 most intense peaks (2θ = 5–70°), sorted by position:
- 26.9 deg, I 34.4
- 27.5 deg, I 46.5
- 31.4 deg, I 100.0
- 33.0 deg, I 33.7
- 33.6 deg, I 89.5
- 34.9 deg, I 38.3
- 39.9 deg, I 88.2
- 41.9 deg, I 27.2
- 47.8 deg, I 44.7
- 64.6 deg, I 27.0

Crystal structure
a = 6.8448 Å, b = 6.8448 Å, c = 9.4666 Å
α = 90.00°, β = 90.00°, γ = 151.72°
Element x y z (fractional)
Pa: 0.1096 0.8904 0.5000
Pa: 0.1349 0.8651 0.1263
Pa: 0.8651 0.1349 0.6263
Pa: 0.8904 0.1096 0.0000
Ni: 0.4407 0.5593 0.2673
Ni: 0.5593 0.4407 0.7673
Os: 0.1971 0.8029 0.8312
Os: 0.8029 0.1971 0.3312
N: 0.0418 0.9582 0.8729
N: 0.2907 0.7093 0.4710
N: 0.3090 0.6910 0.1824
N: 0.3521 0.6479 0.8184
N: 0.4939 0.5061 0.5880
N: 0.5061 0.4939 0.0880
N: 0.6479 0.3521 0.3184
N: 0.6910 0.3090 0.6824
N: 0.7093 0.2907 0.9710
N: 0.9582 0.0418 0.3729

=====

No. 2
# PrNiPN
Simulated powder diffraction line list, Cu Kα X-rays. Input: DFT lattice parameters and positions (GGA-PBE).

The 10 most intense peaks (2θ = 5–70°), sorted by position:
- 26.0 deg, I 73.8
- 32.4 deg, I 100.0
- 33.4 deg, I 82.3
- 35.3 deg, I 67.6
- 40.4 deg, I 69.5
- 47.9 deg, I 62.4
- 51.4 deg, I 30.0
- 57.3 deg, I 26.4
- 59.1 deg, I 36.7
- 59.7 deg, I 32.6

Crystal structure
a = 3.7950 Å, b = 3.7950 Å, c = 8.0414 Å
α = 90.00°, β = 90.00°, γ = 90.00°
Element x y z (fractional)
Pr: 0.2500 0.2500 0.1702
Pr: 0.7500 0.7500 0.8298
Ni: 0.2500 0.7500 0.5000
Ni: 0.7500 0.2500 0.5000
P: 0.2500 0.2500 0.6494
P: 0.7500 0.7500 0.3506
N: 0.2500 0.2500 0.8628
N: 0.7500 0.7500 0.1372

=====

No. 3
# PaNiN
Simulated powder diffraction line list, Cu Kα X-rays. Input: DFT lattice parameters and positions (GGA-PBE).

The 10 most intense peaks (2θ = 5–70°), sorted by position:
- 20.1 deg, I 43.0
- 28.4 deg, I 100.0
- 37.4 deg, I 14.6
- 38.4 deg, I 24.4
- 40.7 deg, I 69.1
- 42.8 deg, I 24.1
- 43.7 deg, I 11.9
- 57.2 deg, I 13.9
- 58.8 deg, I 18.9
- 62.1 deg, I 14.2

Crystal structure
a = 4.6930 Å, b = 4.8056 Å, c = 8.8529 Å
α = 90.00°, β = 90.00°, γ = 90.00°
Element x y z (fractional)
Pa: 0.2500 0.2462 0.0000
Pa: 0.2500 0.7462 0.5000
Pa: 0.7500 0.2538 0.5000
Pa: 0.7500 0.7538 0.0000
Ni: 0.2500 0.1113 0.2774
Ni: 0.2500 0.6113 0.7774
Ni: 0.7500 0.3887 0.7774
Ni: 0.7500 0.8887 0.2774
N: 0.2500 0.2605 0.4866
N: 0.2500 0.7605 0.9866
N: 0.7500 0.2395 0.9866
N: 0.7500 0.7395 0.4866

=====

No. 4
# Pa2NiSnN5
Simulated powder diffraction line list, Cu Kα X-rays. Input: DFT lattice parameters and positions (GGA-PBE).

The 10 most intense peaks (2θ = 5–70°), sorted by position:
- 26.3 deg, I 31.0
- 27.6 deg, I 50.3
- 27.8 deg, I 29.4
- 29.9 deg, I 100.0
- 31.9 deg, I 56.3
- 33.0 deg, I 53.8
- 33.5 deg, I 62.7
- 38.9 deg, I 87.8
- 46.9 deg, I 30.9
- 55.2 deg, I 31.5

Crystal structure
a = 6.9751 Å, b = 6.9751 Å, c = 9.9836 Å
α = 90.00°, β = 90.00°, γ = 152.42°
Element x y z (fractional)
Pa: 0.1015 0.8985 0.5000
Pa: 0.1365 0.8635 0.1164
Pa: 0.8635 0.1365 0.6164
Pa: 0.8985 0.1015 0.0000
Ni: 0.4967 0.5033 0.2918
Ni: 0.5033 0.4967 0.7918
Sn: 0.1949 0.8051 0.8184
Sn: 0.8051 0.1949 0.3184
N: 0.0428 0.9572 0.8886
N: 0.2886 0.7114 0.4868
N: 0.3116 0.6884 0.1734
N: 0.3567 0.6433 0.8286
N: 0.4874 0.5126 0.6002
N: 0.5126 0.4874 0.1002
N: 0.6433 0.3567 0.3286
N: 0.6884 0.3116 0.6734
N: 0.7114 0.2886 0.9868
N: 0.9572 0.0428 0.3886

=====

No. 5
# PaNiTe2N
Simulated powder diffraction line list, Cu Kα X-rays. Input: DFT lattice parameters and positions (GGA-PBE).

The 10 most intense peaks (2θ = 5–70°), sorted by position:
- 6.4 deg, I 25.6
- 12.8 deg, I 10.2
- 30.1 deg, I 100.0
- 32.6 deg, I 75.8
- 34.8 deg, I 19.6
- 39.1 deg, I 14.4
- 46.8 deg, I 30.6
- 51.8 deg, I 28.7
- 56.7 deg, I 34.6
- 62.6 deg, I 14.7

Crystal structure
a = 3.8788 Å, b = 3.8788 Å, c = 13.8262 Å
α = 90.00°, β = 90.00°, γ = 90.00°
Element x y z (fractional)
Pa: 0.2500 0.2500 0.0873
Pa: 0.7500 0.7500 0.9127
Ni: 0.2500 0.2500 0.6014
Ni: 0.7500 0.7500 0.3986
Te: 0.2500 0.2500 0.4191
Te: 0.2500 0.2500 0.7854
Te: 0.7500 0.7500 0.2146
Te: 0.7500 0.7500 0.5809
N: 0.2500 0.7500 0.0000
N: 0.7500 0.2500 0.0000

=====

No. 6
# Ni4Pb2N
Simulated powder diffraction line list, Cu Kα X-rays. Input: DFT lattice parameters and positions (GGA-PBE).

The 10 most intense peaks (2θ = 5–70°), sorted by position:
- 29.9 deg, I 100.0
- 33.2 deg, I 65.3
- 35.5 deg, I 74.8
- 37.4 deg, I 41.3
- 39.1 deg, I 52.7
- 41.8 deg, I 62.4
- 47.7 deg, I 61.7
- 57.3 deg, I 33.9
- 62.1 deg, I 37.0
- 62.9 deg, I 27.0

Crystal structure
a = 3.8132 Å, b = 3.8132 Å, c = 14.4361 Å
α = 90.00°, β = 90.00°, γ = 90.00°
Element x y z (fractional)
Ni: 0.0000 0.0000 0.1274
Ni: 0.0000 0.0000 0.8726
Ni: 0.0000 0.5000 0.0000
Ni: 0.0000 0.5000 0.5000
Ni: 0.5000 0.0000 0.0000
Ni: 0.5000 0.0000 0.5000
Ni: 0.5000 0.5000 0.3726
Ni: 0.5000 0.5000 0.6274
Pb: 0.0000 0.0000 0.3278
Pb: 0.0000 0.0000 0.6722
Pb: 0.5000 0.5000 0.1722
Pb: 0.5000 0.5000 0.8278
N: 0.0000 0.0000 0.0000
N: 0.5000 0.5000 0.5000